Entry 1:
Theoretical powder diffractogram of KMg6BO8 for copper Kα, from the PBE geometry in the Materials Project.
Neutral-atom scattering factors, no anomalous dispersion.

Principal peaks in the range 2θ = 5–70°, in order of falling intensity:
2θ/deg  intensity  index
38.59  100.0  2 0 0
61.34  31.4  2 0 4
55.72  29.0  2 2 0
45.74  21.4  0 0 4
35.38  16.5  1 1 2
67.75  7.2  3 1 2
39.15  7.2  1 0 3
56.14  4.1  2 1 3

```
data_KMg6BO8
_chemical_formula_sum 'K1 Mg6 B1 O8'
_symmetry_space_group_name_H-M 'P 4/m m m'
_symmetry_Int_Tables_number 123
_symmetry_space_group_name_Hall '-P 4 2'
_cell_length_a 4.666
_cell_length_b 4.666
_cell_length_c 7.935
_cell_angle_alpha 90.00
_cell_angle_beta 90.00
_cell_angle_gamma 90.00
loop_
_atom_site_label
_atom_site_type_symbol
_atom_site_fract_x
_atom_site_fract_y
_atom_site_fract_z
K1 K 0.000 0.000 0.000
Mg1 Mg 0.000 0.500 0.257
Mg2 Mg 0.500 0.500 0.000
Mg3 Mg 0.500 0.500 0.500
B1 B 0.000 0.000 0.500
O1 O 0.000 0.000 0.329
O2 O 0.000 0.500 0.000
O3 O 0.000 0.500 0.500
O4 O 0.500 0.500 0.250
```

=====

Entry 2:
Theoretical powder diffractogram of KMg14BO16 for copper Kα, from the PBE geometry in the Materials Project.
Neutral-atom scattering factors, no anomalous dispersion.

Principal peaks in the range 2θ = 5–70°, in order of falling intensity:
2θ/deg  intensity  index
40.57  100.0  2 0 0
61.45  42.1  2 4 0
44.09  33.5  0 4 0
58.72  27.8  2 0 4
35.96  16.8  1 2 2
38.61  2.3  0 3 2
34.26  1.8  0 3 1
32.70  1.5  0 3 0

```
data_KMg14BO16
_chemical_formula_sum 'K1 Mg14 B1 O16'
_symmetry_space_group_name_H-M 'P m m m'
_symmetry_Int_Tables_number 47
_symmetry_space_group_name_Hall '-P 2 2'
_cell_length_a 4.449
_cell_length_b 8.216
_cell_length_c 8.892
_cell_angle_alpha 90.00
_cell_angle_beta 90.00
_cell_angle_gamma 90.00
loop_
_atom_site_label
_atom_site_type_symbol
_atom_site_fract_x
_atom_site_fract_y
_atom_site_fract_z
K1 K 0.000 0.000 0.000
Mg1 Mg 0.000 0.000 0.500
Mg2 Mg 0.000 0.254 0.265
Mg3 Mg 0.000 0.500 0.500
Mg4 Mg 0.500 0.000 0.252
Mg5 Mg 0.500 0.251 0.500
Mg6 Mg 0.500 0.259 0.000
Mg7 Mg 0.500 0.500 0.247
B1 B 0.000 0.500 0.000
O1 O 0.000 0.000 0.272
O2 O 0.000 0.251 0.500
O3 O 0.000 0.333 0.000
O4 O 0.000 0.500 0.268
O5 O 0.500 0.000 0.000
O6 O 0.500 0.000 0.500
O7 O 0.500 0.250 0.245
O8 O 0.500 0.500 0.000
O9 O 0.500 0.500 0.500
```

=====

Entry 3:
Theoretical powder diffractogram of KMg6BO7 for copper Kα, from the PBE geometry in the Materials Project.
Neutral-atom scattering factors, no anomalous dispersion.

Principal peaks in the range 2θ = 5–70°, in order of falling intensity:
2θ/deg  intensity  index
37.59  100.0  2 0 0
54.21  29.6  2 2 0
61.04  29.1  2 0 4
35.00  24.9  1 1 2
46.23  18.7  0 0 4
66.17  9.9  3 1 2
39.22  7.9  1 0 3
55.45  4.7  2 1 3

```
data_KMg6BO7
_chemical_formula_sum 'K1 Mg6 B1 O7'
_symmetry_space_group_name_H-M 'P 4 m m'
_symmetry_Int_Tables_number 99
_symmetry_space_group_name_Hall 'P 4 -2'
_cell_length_a 4.786
_cell_length_b 4.786
_cell_length_c 7.855
_cell_angle_alpha 90.00
_cell_angle_beta 90.00
_cell_angle_gamma 90.00
loop_
_atom_site_label
_atom_site_type_symbol
_atom_site_fract_x
_atom_site_fract_y
_atom_site_fract_z
K1 K 0.000 0.000 0.000
Mg1 Mg 0.000 0.500 0.254
Mg2 Mg 0.000 0.500 0.742
Mg3 Mg 0.500 0.500 0.003
Mg4 Mg 0.500 0.500 0.495
B1 B 0.000 0.000 0.499
O1 O 0.000 0.000 0.329
O2 O 0.000 0.000 0.670
O3 O 0.000 0.500 0.498
O4 O 0.000 0.500 0.998
O5 O 0.500 0.500 0.749
```

=====

Entry 4:
Theoretical powder diffractogram of KMg6BO7 for copper Kα, from the PBE geometry in the Materials Project.
Neutral-atom scattering factors, no anomalous dispersion.

Principal peaks in the range 2θ = 5–70°, in order of falling intensity:
2θ/deg  intensity  index
38.34  100.0  2 0 0
61.36  35.3  2 0 4
55.34  29.3  2 2 0
45.97  23.7  0 0 4
35.32  22.6  1 1 2
67.38  9.1  3 1 2
22.02  6.9  1 0 1
11.21  5.7  0 0 1

```
data_KMg6BO7
_chemical_formula_sum 'K1 Mg6 B1 O7'
_symmetry_space_group_name_H-M 'P 4 m m'
_symmetry_Int_Tables_number 99
_symmetry_space_group_name_Hall 'P 4 -2'
_cell_length_a 4.696
_cell_length_b 4.696
_cell_length_c 7.897
_cell_angle_alpha 90.00
_cell_angle_beta 90.00
_cell_angle_gamma 90.00
loop_
_atom_site_label
_atom_site_type_symbol
_atom_site_fract_x
_atom_site_fract_y
_atom_site_fract_z
K1 K 0.000 0.000 0.000
Mg1 Mg 0.000 0.500 0.257
Mg2 Mg 0.000 0.500 0.742
Mg3 Mg 0.500 0.500 0.498
Mg4 Mg 0.500 0.500 0.999
B1 B 0.000 0.000 0.496
O1 O 0.000 0.000 0.670
O2 O 0.000 0.500 0.000
O3 O 0.000 0.500 0.498
O4 O 0.500 0.500 0.248
O5 O 0.500 0.500 0.749
```

=====

Entry 5:
Theoretical powder diffractogram of KMg14BO15 for copper Kα, from the PBE geometry in the Materials Project.
Neutral-atom scattering factors, no anomalous dispersion.

Principal peaks in the range 2θ = 5–70°, in order of falling intensity:
2θ/deg  intensity  index
40.33  100.0  2 0 0
40.84  87.7  0 0 4
44.16  63.8  0 4 0
58.74  51.4  2 0 4
61.33  41.7  2 4 0
35.99  40.1  1 2 2
61.70  37.8  0 4 4
32.75  4.7  0 3 0

```
data_KMg14BO15
_chemical_formula_sum 'K1 Mg14 B1 O15'
_symmetry_space_group_name_H-M 'P m m 2'
_symmetry_Int_Tables_number 25
_symmetry_space_group_name_Hall 'P 2 -2'
_cell_length_a 4.473
_cell_length_b 8.204
_cell_length_c 8.839
_cell_angle_alpha 90.00
_cell_angle_beta 90.00
_cell_angle_gamma 90.00
loop_
_atom_site_label
_atom_site_type_symbol
_atom_site_fract_x
_atom_site_fract_y
_atom_site_fract_z
K1 K 0.000 0.000 0.000
Mg1 Mg 0.000 0.000 0.497
Mg2 Mg 0.000 0.250 0.738
Mg3 Mg 0.000 0.257 0.258
Mg4 Mg 0.000 0.500 0.490
Mg5 Mg 0.500 0.000 0.248
Mg6 Mg 0.500 0.000 0.744
Mg7 Mg 0.500 0.251 0.498
Mg8 Mg 0.500 0.260 0.990
Mg9 Mg 0.500 0.500 0.229
Mg10 Mg 0.500 0.500 0.749
B1 B 0.000 0.500 0.925
O1 O 0.000 0.000 0.271
O2 O 0.000 0.000 0.725
O3 O 0.000 0.255 0.502
O4 O 0.000 0.331 0.976
O5 O 0.000 0.500 0.267
O6 O 0.500 0.000 0.495
O7 O 0.500 0.000 0.989
O8 O 0.500 0.250 0.745
O9 O 0.500 0.251 0.239
O10 O 0.500 0.500 0.506
O11 O 0.500 0.500 0.983
```

=====

Entry 6:
Theoretical powder diffractogram of KMg6BO7 for copper Kα, from the PBE geometry in the Materials Project.
Neutral-atom scattering factors, no anomalous dispersion.

Principal peaks in the range 2θ = 5–70°, in order of falling intensity:
2θ/deg  intensity  index
40.51  100.0  2 0 0
59.91  43.1  2 0 4
42.17  35.7  0 0 4
58.64  28.5  2 2 0
35.37  20.3  1 1 2
28.91  20.2  1 0 2
22.50  8.4  1 0 1
37.40  8.3  1 0 3

```
data_KMg6BO7
_chemical_formula_sum 'K1 Mg6 B1 O7'
_symmetry_space_group_name_H-M 'P 4 m m'
_symmetry_Int_Tables_number 99
_symmetry_space_group_name_Hall 'P 4 -2'
_cell_length_a 4.453
_cell_length_b 4.453
_cell_length_c 8.571
_cell_angle_alpha 90.00
_cell_angle_beta 90.00
_cell_angle_gamma 90.00
loop_
_atom_site_label
_atom_site_type_symbol
_atom_site_fract_x
_atom_site_fract_y
_atom_site_fract_z
K1 K 0.000 0.000 0.000
Mg1 Mg 0.000 0.000 0.471
Mg2 Mg 0.000 0.500 0.207
Mg3 Mg 0.000 0.500 0.721
Mg4 Mg 0.500 0.500 0.456
B1 B 0.500 0.500 0.906
O1 O 0.000 0.000 0.698
O2 O 0.000 0.500 0.470
O3 O 0.000 0.500 0.952
O4 O 0.500 0.500 0.227
O5 O 0.500 0.500 0.744
```

=====

Entry 7:
Theoretical powder diffractogram of KMg14BO15 for copper Kα, from the PBE geometry in the Materials Project.
Neutral-atom scattering factors, no anomalous dispersion.

Principal peaks in the range 2θ = 5–70°, in order of falling intensity:
2θ/deg  intensity  index
40.14  100.0  2 0 0
42.59  73.7  0 0 4
41.91  68.1  0 4 0
59.96  46.0  2 0 4
59.42  42.0  2 4 0
35.78  40.4  1 2 2
61.29  33.3  0 4 4
10.42  7.2  0 0 1

```
data_KMg14BO15
_chemical_formula_sum 'K1 Mg14 B1 O15'
_symmetry_space_group_name_H-M 'P m m 2'
_symmetry_Int_Tables_number 25
_symmetry_space_group_name_Hall 'P 2 -2'
_cell_length_a 4.493
_cell_length_b 8.623
_cell_length_c 8.490
_cell_angle_alpha 90.00
_cell_angle_beta 90.00
_cell_angle_gamma 90.00
loop_
_atom_site_label
_atom_site_type_symbol
_atom_site_fract_x
_atom_site_fract_y
_atom_site_fract_z
K1 K 0.000 0.000 0.000
Mg1 Mg 0.000 0.000 0.452
Mg2 Mg 0.000 0.242 0.720
Mg3 Mg 0.000 0.279 0.216
Mg4 Mg 0.000 0.500 0.958
Mg5 Mg 0.500 0.000 0.223
Mg6 Mg 0.500 0.000 0.713
Mg7 Mg 0.500 0.251 0.961
Mg8 Mg 0.500 0.270 0.465
Mg9 Mg 0.500 0.500 0.213
Mg10 Mg 0.500 0.500 0.714
B1 B 0.000 0.500 0.526
O1 O 0.000 0.000 0.684
O2 O 0.000 0.273 0.956
O3 O 0.000 0.337 0.472
O4 O 0.000 0.500 0.191
O5 O 0.000 0.500 0.698
O6 O 0.500 0.000 0.465
O7 O 0.500 0.000 0.960
O8 O 0.500 0.250 0.709
O9 O 0.500 0.253 0.217
O10 O 0.500 0.500 0.473
O11 O 0.500 0.500 0.954
```

=====

Entry 8:
Theoretical powder diffractogram of KMg14BO15 for copper Kα, from the PBE geometry in the Materials Project.
Neutral-atom scattering factors, no anomalous dispersion.

Principal peaks in the range 2θ = 5–70°, in order of falling intensity:
2θ/deg  intensity  index
40.04  100.0  2 0 0
41.53  82.6  0 0 4
43.57  67.1  0 4 0
59.06  50.1  2 0 4
60.65  41.6  2 4 0
35.94  39.1  1 2 2
61.76  37.2  0 4 4
38.52  5.9  0 3 2

```
data_KMg14BO15
_chemical_formula_sum 'K1 Mg14 B1 O15'
_symmetry_space_group_name_H-M 'P m m 2'
_symmetry_Int_Tables_number 25
_symmetry_space_group_name_Hall 'P 2 -2'
_cell_length_a 4.504
_cell_length_b 8.309
_cell_length_c 8.698
_cell_angle_alpha 90.00
_cell_angle_beta 90.00
_cell_angle_gamma 90.00
loop_
_atom_site_label
_atom_site_type_symbol
_atom_site_fract_x
_atom_site_fract_y
_atom_site_fract_z
K1 K 0.000 0.000 0.000
Mg1 Mg 0.000 0.000 0.518
Mg2 Mg 0.000 0.243 0.270
Mg3 Mg 0.000 0.266 0.754
Mg4 Mg 0.000 0.500 0.510
Mg5 Mg 0.500 0.000 0.264
Mg6 Mg 0.500 0.000 0.761
Mg7 Mg 0.500 0.250 0.512
Mg8 Mg 0.500 0.262 0.016
Mg9 Mg 0.500 0.500 0.261
Mg10 Mg 0.500 0.500 0.773
B1 B 0.000 0.500 0.076
O1 O 0.000 0.000 0.283
O2 O 0.000 0.255 0.507
O3 O 0.000 0.333 0.024
O4 O 0.000 0.500 0.248
O5 O 0.000 0.500 0.736
O6 O 0.500 0.000 0.019
O7 O 0.500 0.000 0.514
O8 O 0.500 0.250 0.263
O9 O 0.500 0.253 0.768
O10 O 0.500 0.500 0.025
O11 O 0.500 0.500 0.501
```